CeZnPN: simulated powder diffraction line list (Cu Kα, 1.54184 Å), based on the PBE geometry in Alexandria.
Neutral-atom scattering factors, no anomalous dispersion.

Cell and atoms:
Lattice parameters (Å, degrees): 10.5219 10.5219 10.5219 21.68 21.68 21.68
Fractional coordinates of all 8 atoms:
Ce  0.1208  0.1208  0.1208
Ce  0.8792  0.8792  0.8792
Zn  0.3033  0.3033  0.3033
Zn  0.6967  0.6967  0.6967
P  0.3867  0.3867  0.3867
P  0.6133  0.6133  0.6133
N  0.1949  0.1949  0.1949
N  0.8051  0.8051  0.8051

Peak list (10 most intense, 2θ from 10° to 90°, low angle first)
| two_theta | d [Å] | I/Imax |
| --- | --- | --- |
| 26.16 | 3.407 | 19 |
| 28.50 | 3.132 | 100 |
| 29.83 | 2.996 | 77 |
| 33.12 | 2.704 | 38 |
| 34.94 | 2.568 | 37 |
| 35.04 | 2.561 | 19 |
| 39.32 | 2.291 | 36 |
| 45.85 | 1.979 | 77 |
| 54.67 | 1.679 | 26 |
| 58.93 | 1.567 | 51 |